[1]
For La8SnSe6, a crystal structure in Alexandria, relaxed with GGA-PBE gives the simulated PXRD pattern in this record (Cu Kα, 1.54184 Å).
Neutral-atom scattering factors, no anomalous dispersion.

Largest 10 diffraction maxima, low angle first, 5° ≤ 2θ ≤ 70°:
Position (°2θ)  Rel. int.  index
26.07  65  1 1 1
27.70  58  0 2 1
27.87  100  3 0 0
32.14  100  2 1 1
33.64  47  3 1 0
38.53  81  4 -2 1
41.61  27  0 0 2
46.20  44  5 -2 1
50.82  21  3 0 2
57.55  22  6 0 0

a b c (Å): 11.0909 11.0909 4.3411
angles (deg): 90.00 90.00 120.00
Space group P-3 (No. 147)
Unique sites:
La 0.0363 0.7094 0.2481 [6 per cell]
La 0.3333 0.6667 0.7502 [2 per cell]
Sn 0.0000 0.0000 0.0000 [1 per cell]
Se 0.1319 0.4840 0.2495 [6 per cell]

***

[2]
For Lu3Si2Ni6, a crystal structure in Alexandria, relaxed with GGA-PBE gives the simulated PXRD pattern in this record (Cu Kα, 1.54184 Å).
Neutral-atom scattering factors, no anomalous dispersion.

Largest 10 diffraction maxima, low angle first, 5° ≤ 2θ ≤ 70°:
Position (°2θ)  Rel. int.  index
25.17  26  2 1 1
29.14  16  2 2 0
32.67  45  3 1 0
35.89  32  2 2 2
38.88  31  3 2 1
41.69  26  4 0 0
44.34  100  3 3 0
58.31  17  5 2 1
62.49  15  4 3 3
66.50  21  5 3 2

a b c (Å): 8.667 8.667 8.667
angles (deg): 90.00 90.00 90.00
Space group Im-3m (No. 229)
Unique sites:
Lu 0.000 0.000 0.286 [12 per cell]
Si 0.250 0.250 0.250 [8 per cell]
Ni 0.000 0.330 0.330 [24 per cell]

***

[3]
For AcAs2Pd2Pt, a crystal structure in Alexandria, relaxed with GGA-PBE gives the simulated PXRD pattern in this record (Cu Kα, 1.54184 Å).
Neutral-atom scattering factors, no anomalous dispersion.

Largest 10 diffraction maxima, low angle first, 5° ≤ 2θ ≤ 70°:
Position (°2θ)  Rel. int.  index
18.26  24  1 0 0
25.94  67  1 1 0
30.25  14  1 1 1
36.10  100  1 0 2
37.02  73  2 0 0
48.94  13  2 0 2
52.66  68  2 1 2
53.35  25  2 2 0
60.25  13  3 1 0
66.11  17  3 0 2

a b c (Å): 4.857 4.857 5.794
angles (deg): 90.00 90.00 90.00
Space group P4/mmm (No. 123)
Unique sites:
Ac 0.000 0.000 0.000 [1 per cell]
As 0.000 0.500 0.500 [2 per cell]
Pd 0.500 0.500 0.247 [2 per cell]
Pt 0.000 0.000 0.500 [1 per cell]

***

[4]
For RbBa2NpO5, a crystal structure in Alexandria, relaxed with GGA-PBE gives the simulated PXRD pattern in this record (Cu Kα, 1.54184 Å).
Neutral-atom scattering factors, no anomalous dispersion.

Largest 10 diffraction maxima, low angle first, 5° ≤ 2θ ≤ 70°:
Position (°2θ)  Rel. int.  index
15.07  33  0 1 1
26.72  27  0 2 0
28.22  100  1 1 2
28.74  18  0 0 4
39.64  24  0 2 4
40.31  11  1 2 3
41.03  13  2 0 0
48.12  24  1 3 2
50.60  14  1 1 6
58.37  15  2 2 4

a b c (Å): 4.400 6.673 12.426
angles (deg): 90.00 90.00 90.00
Space group Immm (No. 71)
Unique sites:
Rb 0.000 0.000 0.000 [2 per cell]
Ba 0.000 0.500 0.224 [4 per cell]
Np 0.000 0.000 0.500 [2 per cell]
O 0.000 0.214 0.371 [8 per cell]
O 0.000 0.500 0.000 [2 per cell]